Starting from a structure optimized by DFT (GGA-PBE), the powder X-ray diffraction pattern of AcTi2CuP4 was calculated for Cu Ka.
Lines closer than 0.1° are merged.

Structural model:
abc: 6.599 6.599 12.527
angles: 90.00 90.00 146.56
Sites, in units of the cell vectors:
1 Ac 0.123 0.877 0.750
2 Ac 0.877 0.123 0.250
3 Ti 0.378 0.622 0.560
4 Ti 0.378 0.622 0.940
5 Ti 0.622 0.378 0.060
6 Ti 0.622 0.378 0.440
7 Cu 0.153 0.847 0.250
8 Cu 0.847 0.153 0.750
9 P 0.000 0.000 0.000
10 P 0.000 0.000 0.500
11 P 0.255 0.745 0.100
12 P 0.255 0.745 0.400
13 P 0.442 0.558 0.750
14 P 0.558 0.442 0.250
15 P 0.745 0.255 0.600
16 P 0.745 0.255 0.900

Principal peaks in the range 2θ from 15° to 90°, low angle first:
15.7 deg, I = 32; 25.6 deg, I = 75; 28.2 deg, I = 33; 28.4 deg, I = 63; 28.5 deg, I = 42; 31.7 deg, I = 53; 32.5 deg, I = 69; 34.9 deg, I = 100; 37.9 deg, I = 32; 40.6 deg, I = 30



Starting from a structure optimized by DFT (GGA-PBE), the powder X-ray diffraction pattern of LaDyThCo was calculated for Cu Ka.
Lines closer than 0.1° are merged.

Structural model:
abc: 6.502 3.755 9.480
angles: 90.00 90.03 90.00
Sites, in units of the cell vectors:
1 La 0.000 0.000 0.000
2 La 0.500 0.500 0.000
3 Dy 0.333 0.000 0.316
4 Dy 0.833 0.500 0.316
5 Th 0.334 0.000 0.674
6 Th 0.834 0.500 0.674
7 Co 0.001 0.000 0.505
8 Co 0.501 0.500 0.505

Principal peaks in the range 2θ from 15° to 90°, low angle first:
27.4 deg, I = 62; 28.2 deg, I = 35; 29.0 deg, I = 48; 33.4 deg, I = 100; 39.8 deg, I = 50; 47.5 deg, I = 18; 48.5 deg, I = 41; 56.2 deg, I = 19; 57.1 deg, I = 31; 60.2 deg, I = 18



Starting from a structure optimized by DFT (GGA-PBE), the powder X-ray diffraction pattern of Ca16Mg12Pb was calculated for Cu Ka.
Lines closer than 0.1° are merged.

Structural model:
abc: 10.518 10.518 10.869
angles: 109.52 109.52 107.89
Sites, in units of the cell vectors:
1 Ca 0.000 0.000 0.000
2 Ca 0.010 0.606 0.012
3 Ca 0.021 0.719 0.728
4 Ca 0.277 0.277 0.655
5 Ca 0.303 0.921 0.647
6 Ca 0.323 0.683 0.334
7 Ca 0.326 0.635 0.921
8 Ca 0.328 0.328 0.340
9 Ca 0.606 0.010 0.012
10 Ca 0.635 0.326 0.921
11 Ca 0.668 0.912 0.339
12 Ca 0.683 0.323 0.334
13 Ca 0.719 0.021 0.728
14 Ca 0.721 0.721 0.018
15 Ca 0.912 0.668 0.339
16 Ca 0.921 0.303 0.647
17 Mg 0.124 0.500 0.504
18 Mg 0.142 0.955 0.313
19 Mg 0.147 0.331 0.974
20 Mg 0.331 0.147 0.974
21 Mg 0.334 0.959 0.147
22 Mg 0.484 0.673 0.682
23 Mg 0.500 0.124 0.504
24 Mg 0.507 0.507 0.149
25 Mg 0.672 0.672 0.507
26 Mg 0.673 0.484 0.682
27 Mg 0.955 0.142 0.313
28 Mg 0.959 0.334 0.147
29 Pb 0.999 0.999 0.655

Principal peaks in the range 2θ from 15° to 90°, low angle first:
17.3 deg, I = 27; 22.7 deg, I = 14; 30.0 deg, I = 22; 30.4 deg, I = 25; 30.6 deg, I = 19; 30.7 deg, I = 100; 31.1 deg, I = 62; 34.5 deg, I = 17; 35.0 deg, I = 16; 53.9 deg, I = 20



Starting from a structure optimized by DFT (GGA-PBE), the powder X-ray diffraction pattern of Tb2CeEr5 was calculated for Cu Ka.
Lines closer than 0.1° are merged.

Structural model:
abc: 9.817 9.817 9.181
angles: 104.11 104.11 35.74
Sites, in units of the cell vectors:
1 Tb 0.053 0.699 0.875
2 Tb 0.301 0.947 0.625
3 Tb 0.699 0.053 0.375
4 Tb 0.947 0.301 0.125
5 Ce 0.000 0.500 0.500
6 Ce 0.500 0.000 0.000
7 Er 0.117 0.516 0.189
8 Er 0.166 0.834 0.250
9 Er 0.269 0.609 0.565
10 Er 0.391 0.731 0.935
11 Er 0.484 0.883 0.311
12 Er 0.516 0.117 0.689
13 Er 0.609 0.269 0.065
14 Er 0.731 0.391 0.435
15 Er 0.834 0.166 0.750
16 Er 0.883 0.484 0.811

Principal peaks in the range 2θ from 15° to 90°, low angle first:
29.7 deg, I = 35; 31.3 deg, I = 69; 32.1 deg, I = 32; 32.6 deg, I = 100; 32.9 deg, I = 98; 35.8 deg, I = 26; 43.7 deg, I = 24; 50.3 deg, I = 18; 56.4 deg, I = 22; 57.0 deg, I = 21



Starting from a structure optimized by DFT (GGA-PBE), the powder X-ray diffraction pattern of CsMg14Mo was calculated for Cu Ka.
Lines closer than 0.1° are merged.

Structural model:
abc: 6.498 6.498 10.586
angles: 90.00 90.00 120.00
Sites, in units of the cell vectors:
1 Cs 0.000 0.000 0.000
2 Mg 0.011 0.505 0.000
3 Mg 0.165 0.330 0.281
4 Mg 0.165 0.330 0.719
5 Mg 0.165 0.835 0.281
6 Mg 0.165 0.835 0.719
7 Mg 0.495 0.505 0.000
8 Mg 0.495 0.989 0.000
9 Mg 0.506 0.011 0.500
10 Mg 0.506 0.494 0.500
11 Mg 0.667 0.333 0.238
12 Mg 0.667 0.333 0.762
13 Mg 0.670 0.835 0.281
14 Mg 0.670 0.835 0.719
15 Mg 0.989 0.494 0.500
16 Mo 0.000 0.000 0.500

Principal peaks in the range 2θ from 15° to 90°, low angle first:
15.7 deg, I = 48; 23.1 deg, I = 39; 31.8 deg, I = 30; 32.3 deg, I = 16; 33.9 deg, I = 23; 36.2 deg, I = 100; 47.1 deg, I = 20; 56.7 deg, I = 17; 67.7 deg, I = 17; 69.1 deg, I = 18



Starting from a structure optimized by DFT (GGA-PBE), the powder X-ray diffraction pattern of Y2CdHg5 was calculated for Cu Ka.
Lines closer than 0.1° are merged.

Structural model:
abc: 8.742 9.456 6.431
angles: 90.00 132.67 90.00
Sites, in units of the cell vectors:
1 Y 0.000 0.250 0.000
2 Y 0.000 0.750 0.000
3 Y 0.500 0.250 0.000
4 Y 0.500 0.750 0.000
5 Cd 0.249 0.000 0.500
6 Cd 0.749 0.500 0.500
7 Hg 0.000 0.251 0.500
8 Hg 0.000 0.749 0.500
9 Hg 0.249 0.500 0.999
10 Hg 0.251 0.000 0.001
11 Hg 0.251 0.500 0.500
12 Hg 0.500 0.249 0.500
13 Hg 0.500 0.751 0.500
14 Hg 0.749 0.000 0.999
15 Hg 0.751 0.000 0.500
16 Hg 0.751 0.500 0.001

Principal peaks in the range 2θ from 15° to 90°, low angle first:
33.8 deg, I = 100; 38.1 deg, I = 36; 41.3 deg, I = 14; 54.9 deg, I = 13; 57.4 deg, I = 17; 66.0 deg, I = 15; 66.1 deg, I = 14; 70.5 deg, I = 6; 70.6 deg, I = 6; 70.9 deg, I = 6